No. 1
For Cu4P3O12, a crystal structure in the Materials Project, relaxed with GGA-PBE gives the calculated PXRD pattern in this record (λ = 1.5418 Å (Cu Kα)).
Peak positions follow from Bragg's law for the DFT cell and can differ from measured ones.

Most intense lines, 10° ≤ 2θ ≤ 80°, sorted by position:
7.894 Å, I 45
6.012 Å, I 39
3.411 Å, I 100
3.144 Å, I 46
2.859 Å, I 52
2.607 Å, I 64

Structural model:
a = 8.5644 Å, b = 8.5644 Å, c = 7.3313 Å
α = 111.47°, β = 111.47°, γ = 89.18°
Fractional positions:
Cu (0.0058, 0.9942, 0.7500)
Cu (0.1171, 0.4339, 0.3419)
Cu (0.2436, 0.7564, 0.2500)
Cu (0.4339, 0.1171, 0.8419)
Cu (0.5661, 0.8829, 0.1581)
Cu (0.7564, 0.2436, 0.7500)
Cu (0.8829, 0.5661, 0.6581)
Cu (0.9942, 0.0058, 0.2500)
P (0.1542, 0.3805, 0.8848)
P (0.2257, 0.7743, 0.7500)
P (0.3805, 0.1542, 0.3848)
P (0.6195, 0.8458, 0.6152)
P (0.7743, 0.2257, 0.2500)
P (0.8458, 0.6195, 0.1152)
O (0.0100, 0.2343, 0.8323)
O (0.0335, 0.7704, 0.7384)
O (0.0854, 0.4602, 0.7167)
O (0.1868, 0.5094, 0.1131)
O (0.2296, 0.9665, 0.7616)
O (0.2343, 0.0100, 0.3323)
O (0.2444, 0.6618, 0.5462)
O (0.3065, 0.3129, 0.3692)
O (0.3129, 0.3065, 0.8692)
O (0.3382, 0.7556, 0.9538)
O (0.4602, 0.0854, 0.2167)
O (0.4906, 0.8132, 0.3869)
O (0.5094, 0.1868, 0.6131)
O (0.5398, 0.9146, 0.7833)
O (0.6618, 0.2444, 0.0462)
O (0.6871, 0.6935, 0.1308)
O (0.6935, 0.6871, 0.6308)
O (0.7556, 0.3382, 0.4538)
O (0.7657, 0.9900, 0.6677)
O (0.7704, 0.0335, 0.2384)
O (0.8132, 0.4906, 0.8869)
O (0.9146, 0.5398, 0.2833)
O (0.9665, 0.2296, 0.2616)
O (0.9900, 0.7657, 0.1677)

No. 2
For PmYTl2, a crystal structure in the Materials Project, relaxed with GGA-PBE gives the calculated PXRD pattern in this record (λ = 1.5418 Å (Cu Kα)).
Peak positions follow from Bragg's law for the DFT cell and can differ from measured ones.

Most intense lines, 10° ≤ 2θ ≤ 80°, sorted by position:
3.841 Å, I 7
2.716 Å, I 100
1.921 Å, I 18
1.568 Å, I 38
1.358 Å, I 12
1.215 Å, I 17

Structural model:
a = 5.4320 Å, b = 5.4320 Å, c = 5.4320 Å
α = 60.00°, β = 60.00°, γ = 60.00°
Fractional positions:
Pm (0.0000, 0.0000, 0.0000)
Y (0.5000, 0.5000, 0.5000)
Tl (0.2500, 0.2500, 0.2500)
Tl (0.7500, 0.7500, 0.7500)

No. 3
For CaCuGe, a crystal structure in the Materials Project, relaxed with GGA-PBE gives the calculated PXRD pattern in this record (λ = 1.5418 Å (Cu Kα)).
Peak positions follow from Bragg's law for the DFT cell and can differ from measured ones.

Most intense lines, 10° ≤ 2θ ≤ 80°, sorted by position:
2.642 Å, I 38
2.590 Å, I 100
2.582 Å, I 42
2.263 Å, I 41
2.184 Å, I 52
2.170 Å, I 90

Structural model:
a = 21.3580 Å, b = 4.3685 Å, c = 7.4994 Å
α = 90.00°, β = 90.00°, γ = 90.00°
Fractional positions:
Ca (0.0016, 0.2500, 0.2143)
Ca (0.1663, 0.2500, 0.2921)
Ca (0.1668, 0.7500, 0.7062)
Ca (0.3332, 0.2500, 0.2062)
Ca (0.3337, 0.7500, 0.7921)
Ca (0.4984, 0.7500, 0.7143)
Ca (0.5016, 0.2500, 0.2857)
Ca (0.6663, 0.2500, 0.2079)
Ca (0.6668, 0.7500, 0.7938)
Ca (0.8332, 0.2500, 0.2938)
Ca (0.8337, 0.7500, 0.7079)
Ca (0.9984, 0.7500, 0.7857)
Cu (0.0638, 0.7500, 0.4190)
Cu (0.0974, 0.2500, 0.9145)
Cu (0.2351, 0.2500, 0.9131)
Cu (0.2649, 0.7500, 0.4131)
Cu (0.4026, 0.7500, 0.4145)
Cu (0.4362, 0.2500, 0.9190)
Cu (0.5638, 0.7500, 0.0810)
Cu (0.5974, 0.2500, 0.5855)
Cu (0.7351, 0.2500, 0.5869)
Cu (0.7649, 0.7500, 0.0869)
Cu (0.9026, 0.7500, 0.0855)
Cu (0.9362, 0.2500, 0.5810)
Ge (0.0688, 0.2500, 0.5903)
Ge (0.1017, 0.7500, 0.0849)
Ge (0.2309, 0.7500, 0.0822)
Ge (0.2691, 0.2500, 0.5822)
Ge (0.3983, 0.2500, 0.5849)
Ge (0.4312, 0.7500, 0.0903)
Ge (0.5688, 0.2500, 0.9097)
Ge (0.6017, 0.7500, 0.4151)
Ge (0.7309, 0.7500, 0.4178)
Ge (0.7691, 0.2500, 0.9178)
Ge (0.8983, 0.2500, 0.9151)
Ge (0.9312, 0.7500, 0.4097)

- Number 2 is which compound?
  PmYTl2